# 1
For GeHPb2S4, a structure optimized by DFT (PBE) gives the calculated powder diffraction line list in this record (Cu Kα, 1.54184 Å).
Intensities are scaled so that the largest is 100.

Principal peaks in the range 2θ from 15° to 90°, sorted by position:
- 2θ 20.99, I 29
- 2θ 22.59, I 50
- 2θ 24.31, I 25
- 2θ 25.23, I 42
- 2θ 26.66, I 41
- 2θ 28.04, I 69
- 2θ 28.45, I 100
- 2θ 32.96, I 46
- 2θ 39.38, I 27
- 2θ 43.26, I 30

Structural model:
```
GeHPb2S4
1.0
7.2726 0.0000 0.0000
-2.8304 7.8578 0.0000
-2.9040 -3.0379 7.8126
Ge H Pb S
2 2 4 8
Direct
0.0000 0.0000 0.0000 Ge
0.0503 0.6664 0.6889 Ge
0.5076 0.8955 0.0314 H
0.9796 0.3319 0.9054 H
0.2628 0.7803 0.2788 Pb
0.4917 0.4812 0.9709 Pb
0.4932 0.5279 0.5011 Pb
0.9539 0.0093 0.5298 Pb
0.1306 0.3314 0.0452 S
0.2174 0.4818 0.6776 S
0.2368 0.9679 0.8431 S
0.2528 0.0956 0.2869 S
0.5966 0.9002 0.5923 S
0.6001 0.8327 0.1515 S
0.8106 0.5439 0.7859 S
0.8927 0.6429 0.4155 S
```

---

# 2
For Ge2H2Pd5, a structure optimized by DFT (PBE) gives the calculated powder diffraction line list in this record (Cu Kα, 1.54184 Å).
Intensities are scaled so that the largest is 100.

Principal peaks in the range 2θ from 15° to 90°, sorted by position:
- 2θ 25.40, I 12
- 2θ 34.15, I 16
- 2θ 35.71, I 13
- 2θ 40.07, I 100
- 2θ 40.18, I 37
- 2θ 45.82, I 50
- 2θ 48.26, I 14
- 2θ 66.81, I 15
- 2θ 80.79, I 15
- 2θ 80.95, I 15

Structural model:
```
Ge2H2Pd5
1.0
8.0365 -2.8009 0.0000
8.0365 2.8009 0.0000
-1.9314 0.0000 5.2572
Ge H Pd
4 4 10
Direct
0.0000 0.5000 0.5000 Ge
0.2329 0.7671 0.7500 Ge
0.5000 0.0000 0.0000 Ge
0.7671 0.2329 0.2500 Ge
0.1249 0.6138 0.1199 H
0.3862 0.8751 0.3801 H
0.6138 0.1249 0.6199 H
0.8751 0.3862 0.8801 H
0.1319 0.1325 0.1325 Pd
0.1325 0.1319 0.6325 Pd
0.2998 0.7002 0.2500 Pd
0.3522 0.3516 0.3516 Pd
0.3516 0.3522 0.8516 Pd
0.6484 0.6478 0.1484 Pd
0.6478 0.6484 0.6484 Pd
0.7002 0.2998 0.7500 Pd
0.8675 0.8681 0.3675 Pd
0.8681 0.8675 0.8675 Pd
```